This entry pairs a crystal structure of Dy4Cd2Au with its simulated powder X-ray diffraction pattern. Radiation: CuKα. Structure: a structure optimized by DFT (GGA-PBE).

Cell and atoms:
abc: 5.1749 5.1749 25.1867
angles: 90.00 90.00 120.00
Space group R-3m (No. 166, hexagonal axes)
Symmetry-distinct sites (fractional):
Dy 0.0000 0.0000 0.1242 (multiplicity 6)
Dy 0.0000 0.0000 0.3753 (multiplicity 6)
Cd 0.0000 0.0000 0.2474 (multiplicity 6)
Au 0.0000 0.0000 0.0000 (multiplicity 3)

Most intense lines, 2θ from 10° to 90°, sorted by position:
| hkl | Position (°2θ) | d_spacing | I (rel.) |
| --- | --- | --- | --- |
| 0 0 3 | 10.54 | 8.396 | 16 |
| 1 1 0 | 34.67 | 2.587 | 100 |
| 0 1 8 | 34.83 | 2.576 | 98 |
| 2 0 8 | 49.96 | 1.826 | 35 |
| 3 0 0 | 62.14 | 1.494 | 18 |
| 1 2 8 | 62.24 | 1.492 | 36 |
| 1 0 16 | 62.54 | 1.485 | 18 |
| 3 1 8 | 83.64 | 1.156 | 16 |